# 1
This entry pairs a crystal structure of PuCd4Hg4 with its calculated powder X-ray diffraction pattern. Radiation: Cu Kα (weighted mean of Kα1 and Kα2). Structure: the GGA-PBE geometry in Alexandria.
Neutral-atom scattering factors, no anomalous dispersion.

Atomic structure:
Unit cell a=7.4169 b=7.4169 c=7.4169 alpha=94.96 beta=94.96 gamma=145.78
Element x y z (fractional)
Pu1 0.0000 0.0000 0.0000
Cd1 0.0000 0.3382 0.3382
Cd2 0.0000 0.6618 0.6618
Cd3 0.3382 0.0000 0.3382
Cd4 0.6618 0.0000 0.6618
Hg1 0.3303 0.3303 0.6606
Hg2 0.3303 0.6697 0.0000
Hg3 0.6697 0.3303 0.0000
Hg4 0.6697 0.6697 0.3394

Top 10 peaks for 10° ≤ 2θ ≤ 90°, by intensity:
- d = 2.653 Å, 33.78 deg, I 100
- d = 2.363 Å, 38.08 deg, I 36
- d = 1.414 Å, 66.09 deg, I 28
- d = 1.603 Å, 57.49 deg, I 22
- d = 2.182 Å, 41.38 deg, I 14
- d = 1.671 Å, 54.96 deg, I 12
- d = 1.334 Å, 70.62 deg, I 12
- d = 1.327 Å, 71.06 deg, I 12
- d = 7.089 Å, 12.49 deg, I 7
- d = 3.127 Å, 28.54 deg, I 6

***

# 2
This entry pairs a crystal structure of PuCd7Hg12 with its calculated powder X-ray diffraction pattern. Radiation: Cu Kα (weighted mean of Kα1 and Kα2). Structure: the GGA-PBE geometry in Alexandria.
Neutral-atom scattering factors, no anomalous dispersion.

Atomic structure:
Unit cell a=8.1835 b=8.9919 c=8.9983 alpha=111.15 beta=107.68 gamma=107.64
Element x y z (fractional)
Pu1 0.0000 0.0000 0.0000
Cd1 0.0208 0.9112 0.3379
Cd2 0.1088 0.4265 0.0895
Cd3 0.3174 0.3372 0.4258
Cd4 0.5000 0.0000 0.0000
Cd5 0.6826 0.6628 0.5742
Cd6 0.8912 0.5735 0.9105
Cd7 0.9792 0.0888 0.6621
Hg1 0.1016 0.7943 0.6913
Hg2 0.1584 0.4843 0.7485
Hg3 0.3077 0.8970 0.2060
Hg4 0.3261 0.7355 0.4845
Hg5 0.4089 0.2512 0.7352
Hg6 0.4101 0.3088 0.1024
Hg7 0.5899 0.6912 0.8976
Hg8 0.5911 0.7488 0.2648
Hg9 0.6739 0.2645 0.5155
Hg10 0.6923 0.1030 0.7940
Hg11 0.8416 0.5157 0.2515
Hg12 0.8984 0.2057 0.3087

Top 10 peaks for 10° ≤ 2θ ≤ 90°, by intensity:
- d = 2.776 Å, 32.25 deg, I 100
- d = 2.689 Å, 33.32 deg, I 66
- d = 2.561 Å, 35.04 deg, I 58
- d = 2.993 Å, 29.86 deg, I 52
- d = 2.807 Å, 31.89 deg, I 49
- d = 2.393 Å, 37.58 deg, I 37
- d = 2.012 Å, 45.07 deg, I 36
- d = 1.532 Å, 60.44 deg, I 22
- d = 2.301 Å, 39.14 deg, I 21
- d = 2.528 Å, 35.51 deg, I 19

***

# 3
This entry pairs a crystal structure of Pu2CdHg6 with its calculated powder X-ray diffraction pattern. Radiation: Cu Kα (weighted mean of Kα1 and Kα2). Structure: the GGA-PBE geometry in Alexandria.
Neutral-atom scattering factors, no anomalous dispersion.

Atomic structure:
Unit cell a=6.6045 b=6.6045 c=6.0976 alpha=90.00 beta=90.00 gamma=120.00
Element x y z (fractional)
Pu1 0.3333 0.6667 0.1581
Pu2 0.6667 0.3333 0.8419
Cd1 0.0000 0.0000 0.0000
Hg1 0.1815 0.3630 0.6780
Hg2 0.1815 0.8185 0.6780
Hg3 0.3630 0.1815 0.3220
Hg4 0.6370 0.8185 0.6780
Hg5 0.8185 0.1815 0.3220
Hg6 0.8185 0.6370 0.3220

Top 10 peaks for 10° ≤ 2θ ≤ 90°, by intensity:
- d = 2.589 Å, 34.64 deg, I 100
- d = 2.690 Å, 33.30 deg, I 36
- d = 2.904 Å, 30.79 deg, I 24
- d = 1.651 Å, 55.67 deg, I 23
- d = 2.860 Å, 31.28 deg, I 20
- d = 1.392 Å, 67.28 deg, I 19
- d = 2.086 Å, 43.38 deg, I 17
- d = 1.481 Å, 62.75 deg, I 14
- d = 1.763 Å, 51.85 deg, I 11
- d = 1.205 Å, 79.53 deg, I 11

***

# 4
This entry pairs a crystal structure of PuCd2Hg9 with its calculated powder X-ray diffraction pattern. Radiation: Cu Kα (weighted mean of Kα1 and Kα2). Structure: the GGA-PBE geometry in Alexandria.
Neutral-atom scattering factors, no anomalous dispersion.

Atomic structure:
Unit cell a=4.5292 b=4.9474 c=13.4935 alpha=90.00 beta=90.00 gamma=90.00
Element x y z (fractional)
Pu1 0.0000 0.0000 0.0000
Cd1 0.0000 0.0000 0.3382
Cd2 0.0000 0.0000 0.6618
Hg1 0.0000 0.5000 0.1687
Hg2 0.0000 0.5000 0.5000
Hg3 0.0000 0.5000 0.8313
Hg4 0.5000 0.0000 0.1742
Hg5 0.5000 0.0000 0.5000
Hg6 0.5000 0.0000 0.8258
Hg7 0.5000 0.5000 0.0000
Hg8 0.5000 0.5000 0.3350
Hg9 0.5000 0.5000 0.6650

Top 10 peaks for 10° ≤ 2θ ≤ 90°, by intensity:
- d = 2.682 Å, 33.41 deg, I 100
- d = 2.474 Å, 36.32 deg, I 20
- d = 1.465 Å, 63.50 deg, I 16
- d = 2.265 Å, 39.81 deg, I 16
- d = 2.249 Å, 40.09 deg, I 15
- d = 1.375 Å, 68.21 deg, I 13
- d = 1.670 Å, 54.97 deg, I 13
- d = 1.368 Å, 68.61 deg, I 12
- d = 1.664 Å, 55.20 deg, I 12
- d = 1.341 Å, 70.19 deg, I 12

***

# 5
This entry pairs a crystal structure of Pu2Cd2Hg with its calculated powder X-ray diffraction pattern. Radiation: Cu Kα (weighted mean of Kα1 and Kα2). Structure: the GGA-PBE geometry in Alexandria.
Neutral-atom scattering factors, no anomalous dispersion.

Atomic structure:
Unit cell a=8.1641 b=8.1641 c=3.0850 alpha=90.00 beta=90.00 gamma=143.80
Element x y z (fractional)
Pu1 0.1046 0.8954 0.0000
Pu2 0.8954 0.1046 0.0000
Cd1 0.2987 0.7013 0.5000
Cd2 0.7013 0.2987 0.5000
Hg1 0.5000 0.5000 0.5000

Top 10 peaks for 10° ≤ 2θ ≤ 90°, by intensity:
- d = 2.648 Å, 33.85 deg, I 100
- d = 2.599 Å, 34.51 deg, I 98
- d = 2.415 Å, 37.24 deg, I 48
- d = 2.537 Å, 35.39 deg, I 45
- d = 1.749 Å, 52.31 deg, I 35
- d = 1.333 Å, 70.68 deg, I 24
- d = 1.443 Å, 64.58 deg, I 21
- d = 1.982 Å, 45.78 deg, I 19
- d = 1.562 Å, 59.15 deg, I 18
- d = 1.476 Å, 62.96 deg, I 18

***

# 6
This entry pairs a crystal structure of PuCd5Hg4Sb with its calculated powder X-ray diffraction pattern. Radiation: Cu Kα (weighted mean of Kα1 and Kα2). Structure: the GGA-PBE geometry in Alexandria.
Neutral-atom scattering factors, no anomalous dispersion.

Atomic structure:
Unit cell a=5.4356 b=5.4356 c=9.9815 alpha=90.00 beta=90.00 gamma=90.00
Element x y z (fractional)
Pu1 0.0000 0.0000 0.0000
Cd1 0.0000 0.5000 0.1929
Cd2 0.0000 0.5000 0.8071
Cd3 0.5000 0.0000 0.1929
Cd4 0.5000 0.0000 0.8071
Cd5 0.5000 0.5000 0.5000
Hg1 0.0000 0.0000 0.3233
Hg2 0.0000 0.0000 0.6767
Hg3 0.0000 0.5000 0.5000
Hg4 0.5000 0.0000 0.5000
Sb1 0.5000 0.5000 0.0000

Top 10 peaks for 10° ≤ 2θ ≤ 90°, by intensity:
- d = 2.516 Å, 35.69 deg, I 100
- d = 2.718 Å, 32.96 deg, I 89
- d = 1.527 Å, 60.64 deg, I 44
- d = 1.922 Å, 47.30 deg, I 33
- d = 2.838 Å, 31.53 deg, I 26
- d = 5.436 Å, 16.31 deg, I 24
- d = 1.963 Å, 46.25 deg, I 18
- d = 1.419 Å, 65.82 deg, I 18
- d = 1.215 Å, 78.73 deg, I 15
- d = 1.838 Å, 49.59 deg, I 13

***

# 7
This entry pairs a crystal structure of TmPuCd2Hg4 with its calculated powder X-ray diffraction pattern. Radiation: Cu Kα (weighted mean of Kα1 and Kα2). Structure: the GGA-PBE geometry in Alexandria.
Neutral-atom scattering factors, no anomalous dispersion.

Atomic structure:
Unit cell a=8.8779 b=8.8779 c=8.8779 alpha=33.43 beta=33.43 gamma=33.43
Element x y z (fractional)
Tm1 0.0000 0.0000 0.0000
Pu1 0.5000 0.5000 0.5000
Cd1 0.2490 0.2490 0.2490
Cd2 0.7510 0.7510 0.7510
Hg1 0.1223 0.1223 0.1223
Hg2 0.3728 0.3728 0.3728
Hg3 0.6272 0.6272 0.6272
Hg4 0.8777 0.8777 0.8777

Top 10 peaks for 10° ≤ 2θ ≤ 90°, by intensity:
- d = 2.557 Å, 35.10 deg, I 100
- d = 1.475 Å, 63.02 deg, I 28
- d = 1.808 Å, 50.48 deg, I 18
- d = 1.480 Å, 62.80 deg, I 9
- d = 1.143 Å, 84.87 deg, I 8
- d = 1.144 Å, 84.69 deg, I 8
- d = 1.277 Å, 74.29 deg, I 6
- d = 1.280 Å, 74.05 deg, I 6
- d = 4.175 Å, 21.28 deg, I 3
- d = 3.616 Å, 24.62 deg, I 2

***

# 8
This entry pairs a crystal structure of RbCd2Hg2 with its calculated powder X-ray diffraction pattern. Radiation: Cu Kα (weighted mean of Kα1 and Kα2). Structure: the GGA-PBE geometry in Alexandria.
Neutral-atom scattering factors, no anomalous dispersion.

Atomic structure:
Unit cell a=7.0398 b=7.2869 c=8.0607 alpha=66.79 beta=80.46 gamma=62.52
Element x y z (fractional)
Rb1 0.2396 0.1317 0.2380
Rb2 0.7604 0.8683 0.7620
Cd1 0.2280 0.5065 0.4831
Cd2 0.2681 0.7000 0.0638
Cd3 0.7319 0.3000 0.9362
Cd4 0.7720 0.4935 0.5169
Hg1 0.1604 0.1328 0.7604
Hg2 0.3522 0.6772 0.6989
Hg3 0.6478 0.3228 0.3011
Hg4 0.8396 0.8672 0.2396

Top 10 peaks for 10° ≤ 2θ ≤ 90°, by intensity:
- d = 3.179 Å, 28.07 deg, I 100
- d = 2.379 Å, 37.82 deg, I 93
- d = 2.342 Å, 38.44 deg, I 91
- d = 5.523 Å, 16.05 deg, I 80
- d = 3.122 Å, 28.59 deg, I 79
- d = 2.321 Å, 38.81 deg, I 71
- d = 2.214 Å, 40.75 deg, I 65
- d = 3.344 Å, 26.65 deg, I 63
- d = 2.742 Å, 32.66 deg, I 57
- d = 5.777 Å, 15.34 deg, I 56

***

# 9
This entry pairs a crystal structure of Rb3Cd8Hg3 with its calculated powder X-ray diffraction pattern. Radiation: Cu Kα (weighted mean of Kα1 and Kα2). Structure: the GGA-PBE geometry in Alexandria.
Neutral-atom scattering factors, no anomalous dispersion.

Atomic structure:
Unit cell a=9.6413 b=9.6413 c=9.6413 alpha=148.28 beta=110.25 gamma=78.65
Element x y z (fractional)
Rb1 0.0000 0.0000 0.0000
Rb2 0.3200 0.3200 0.0000
Rb3 0.6800 0.6800 0.0000
Cd1 0.0393 0.6800 0.3593
Cd2 0.1535 0.8736 0.2799
Cd3 0.3207 0.6800 0.6407
Cd4 0.4063 0.1264 0.2799
Cd5 0.5937 0.8736 0.7201
Cd6 0.6793 0.3200 0.3593
Cd7 0.8465 0.1264 0.7201
Cd8 0.9607 0.3200 0.6407
Hg1 0.2592 0.5000 0.7592
Hg2 0.5000 0.0000 0.5000
Hg3 0.7408 0.5000 0.2408

Top 10 peaks for 10° ≤ 2θ ≤ 90°, by intensity:
- d = 3.022 Å, 29.56 deg, I 100
- d = 2.348 Å, 38.34 deg, I 41
- d = 2.635 Å, 34.03 deg, I 40
- d = 2.596 Å, 34.55 deg, I 21
- d = 2.486 Å, 36.13 deg, I 19
- d = 1.638 Å, 56.15 deg, I 19
- d = 2.795 Å, 32.03 deg, I 18
- d = 1.586 Å, 58.17 deg, I 17
- d = 2.585 Å, 34.70 deg, I 17
- d = 5.512 Å, 16.08 deg, I 16

***

# 10
This entry pairs a crystal structure of Rb2Cd2Hg5 with its calculated powder X-ray diffraction pattern. Radiation: Cu Kα (weighted mean of Kα1 and Kα2). Structure: the GGA-PBE geometry in Alexandria.
Neutral-atom scattering factors, no anomalous dispersion.

Atomic structure:
Unit cell a=5.2021 b=5.2021 c=11.2621 alpha=90.00 beta=90.00 gamma=90.00
Element x y z (fractional)
Rb1 0.0000 0.0000 0.0000
Rb2 0.0000 0.0000 0.5000
Cd1 0.5000 0.5000 0.1310
Cd2 0.5000 0.5000 0.8690
Hg1 0.0000 0.5000 0.2699
Hg2 0.0000 0.5000 0.7301
Hg3 0.5000 0.0000 0.2699
Hg4 0.5000 0.0000 0.7301
Hg5 0.5000 0.5000 0.5000

Top 10 peaks for 10° ≤ 2θ ≤ 90°, by intensity:
- d = 3.080 Å, 28.99 deg, I 100
- d = 2.601 Å, 34.48 deg, I 49
- d = 1.579 Å, 58.45 deg, I 28
- d = 2.627 Å, 34.13 deg, I 23
- d = 1.839 Å, 49.56 deg, I 18
- d = 1.237 Å, 77.07 deg, I 15
- d = 1.911 Å, 47.60 deg, I 15
- d = 5.631 Å, 15.74 deg, I 14
- d = 1.672 Å, 54.92 deg, I 14
- d = 2.816 Å, 31.78 deg, I 11

***

# 11
This entry pairs a crystal structure of Rb2Cd5Hg5 with its calculated powder X-ray diffraction pattern. Radiation: Cu Kα (weighted mean of Kα1 and Kα2). Structure: the GGA-PBE geometry in Alexandria.
Neutral-atom scattering factors, no anomalous dispersion.

Atomic structure:
Unit cell a=5.2942 b=6.2024 c=11.0958 alpha=90.00 beta=90.00 gamma=90.00
Element x y z (fractional)
Rb1 0.0000 0.0000 0.0000
Rb2 0.0000 0.5000 0.5000
Cd1 0.5000 0.0000 0.5000
Cd2 0.5000 0.2512 0.2549
Cd3 0.5000 0.2512 0.7451
Cd4 0.5000 0.7488 0.2549
Cd5 0.5000 0.7488 0.7451
Hg1 0.0000 0.0000 0.3321
Hg2 0.0000 0.0000 0.6679
Hg3 0.0000 0.5000 0.1739
Hg4 0.0000 0.5000 0.8261
Hg5 0.5000 0.5000 0.0000

Top 10 peaks for 10° ≤ 2θ ≤ 90°, by intensity:
- d = 2.724 Å, 32.88 deg, I 100
- d = 2.410 Å, 37.31 deg, I 46
- d = 5.414 Å, 16.37 deg, I 43
- d = 2.647 Å, 33.86 deg, I 43
- d = 2.676 Å, 33.49 deg, I 36
- d = 1.708 Å, 53.66 deg, I 25
- d = 1.362 Å, 68.95 deg, I 21
- d = 3.177 Å, 28.09 deg, I 19
- d = 2.457 Å, 36.57 deg, I 19
- d = 1.543 Å, 59.96 deg, I 18